For Th6Mn23, a GGA-PBE-relaxed structure gives the theoretical PXRD pattern in this record (Cu Kα (weighted mean of Kα1 and Kα2)).
Peak positions follow from Bragg's law for the DFT cell and can differ from measured ones.

```
data_Th6Mn23
_chemical_formula_sum 'Th6 Mn23'
_cell_length_a 8.596
_cell_length_b 8.596
_cell_length_c 8.596
_cell_angle_alpha 60.00
_cell_angle_beta 60.00
_cell_angle_gamma 60.00
_symmetry_space_group_name_H-M 'P 1'
_symmetry_Int_Tables_number 1
loop_
_symmetry_equiv_pos_as_xyz
'x,y,z'
loop_
_atom_site_label
_atom_site_type_symbol
_atom_site_fract_x
_atom_site_fract_y
_atom_site_fract_z
Th1 Th 0.208 0.208 0.792
Th2 Th 0.208 0.792 0.208
Th3 Th 0.208 0.792 0.792
Th4 Th 0.792 0.208 0.208
Th5 Th 0.792 0.208 0.792
Th6 Th 0.792 0.792 0.208
Mn1 Mn 0.000 0.000 0.500
Mn2 Mn 0.000 0.500 0.000
Mn3 Mn 0.000 0.500 0.500
Mn4 Mn 0.147 0.618 0.618
Mn5 Mn 0.181 0.181 0.181
Mn6 Mn 0.181 0.181 0.458
Mn7 Mn 0.181 0.458 0.181
Mn8 Mn 0.382 0.382 0.382
Mn9 Mn 0.382 0.382 0.853
Mn10 Mn 0.382 0.853 0.382
Mn11 Mn 0.458 0.181 0.181
Mn12 Mn 0.500 0.000 0.000
Mn13 Mn 0.500 0.000 0.500
Mn14 Mn 0.500 0.500 0.000
Mn15 Mn 0.500 0.500 0.500
Mn16 Mn 0.542 0.819 0.819
Mn17 Mn 0.618 0.147 0.618
Mn18 Mn 0.618 0.618 0.147
Mn19 Mn 0.618 0.618 0.618
Mn20 Mn 0.819 0.542 0.819
Mn21 Mn 0.819 0.819 0.542
Mn22 Mn 0.819 0.819 0.819
Mn23 Mn 0.853 0.382 0.382
```

Peak list (10 most intense, 2θ from 15° to 90°, low angle first)
d (Å)  Position (°2θ)  intensity
3.509  25.38  56
3.039  29.39  37
2.789  32.09  32
2.481  36.20  36
2.339  38.48  100
2.149  42.05  87
1.702  53.86  23
1.485  62.54  27
1.433  65.11  28
1.175  81.99  29